Calculated X-ray diffraction stick pattern of Ac2Pu2O7 for Cu Kα (λ = 1.5418 Å), from a DFT-relaxed cell (GGA-PBE, Alexandria).

Principal peaks in the range 10 to 90 degrees two-theta, by angle:
Position (°2θ), I/Imax
27.23, 100
31.54, 40
45.21, 47
53.58, 48
56.16, 12
65.85, 7
72.64, 20
74.85, 17
83.47, 15
89.84, 16

Lattice parameters (Å, degrees): 8.023 8.023 8.023 60.00 60.00 60.00
Fractional coordinates of all 22 atoms:
Ac (0.000, 0.000, 0.000)
Ac (0.000, 0.000, 0.500)
Ac (0.000, 0.500, 0.000)
Ac (0.500, 0.000, 0.000)
Pu (0.000, 0.500, 0.500)
Pu (0.500, 0.000, 0.500)
Pu (0.500, 0.500, 0.000)
Pu (0.500, 0.500, 0.500)
O (0.125, 0.125, 0.125)
O (0.163, 0.163, 0.587)
O (0.163, 0.587, 0.163)
O (0.163, 0.587, 0.587)
O (0.413, 0.413, 0.837)
O (0.413, 0.837, 0.413)
O (0.413, 0.837, 0.837)
O (0.587, 0.163, 0.163)
O (0.587, 0.163, 0.587)
O (0.587, 0.587, 0.163)
O (0.837, 0.413, 0.413)
O (0.837, 0.413, 0.837)
O (0.837, 0.837, 0.413)
O (0.875, 0.875, 0.875)

=====

Calculated X-ray diffraction stick pattern of Ac2PuO7 for Cu Kα (λ = 1.5418 Å), from a DFT-relaxed cell (GGA-PBE, Alexandria).

Principal peaks in the range 10 to 90 degrees two-theta, by angle:
Position (°2θ), I/Imax
24.72, 68
25.31, 88
26.08, 100
28.40, 92
29.47, 47
32.86, 24
42.79, 30
44.29, 31
46.58, 30
50.43, 24

Lattice parameters (Å, degrees): 7.289 7.289 8.922 122.58 122.58 57.61
Fractional coordinates of all 20 atoms:
Ac (0.118, 0.273, 0.288)
Ac (0.273, 0.118, 0.788)
Ac (0.727, 0.882, 0.212)
Ac (0.882, 0.727, 0.712)
Pu (0.345, 0.655, 0.250)
Pu (0.655, 0.345, 0.750)
O (0.030, 0.970, 0.250)
O (0.160, 0.622, 0.335)
O (0.166, 0.552, 0.982)
O (0.260, 0.445, 0.650)
O (0.378, 0.840, 0.165)
O (0.445, 0.260, 0.150)
O (0.448, 0.834, 0.518)
O (0.552, 0.166, 0.482)
O (0.555, 0.740, 0.850)
O (0.622, 0.160, 0.835)
O (0.740, 0.555, 0.350)
O (0.834, 0.448, 0.018)
O (0.840, 0.378, 0.665)
O (0.970, 0.030, 0.750)

=====

Repeat the second record exactly.
Calculated X-ray diffraction stick pattern of Ac2PuO7 for Cu Kα (λ = 1.5418 Å), from a DFT-relaxed cell (GGA-PBE, Alexandria).

Principal peaks in the range 10 to 90 degrees two-theta, by angle:
Position (°2θ), I/Imax
24.72, 68
25.31, 88
26.08, 100
28.40, 92
29.47, 47
32.86, 24
42.79, 30
44.29, 31
46.58, 30
50.43, 24

Lattice parameters (Å, degrees): 7.289 7.289 8.922 122.58 122.58 57.61
Fractional coordinates of all 20 atoms:
Ac (0.118, 0.273, 0.288)
Ac (0.273, 0.118, 0.788)
Ac (0.727, 0.882, 0.212)
Ac (0.882, 0.727, 0.712)
Pu (0.345, 0.655, 0.250)
Pu (0.655, 0.345, 0.750)
O (0.030, 0.970, 0.250)
O (0.160, 0.622, 0.335)
O (0.166, 0.552, 0.982)
O (0.260, 0.445, 0.650)
O (0.378, 0.840, 0.165)
O (0.445, 0.260, 0.150)
O (0.448, 0.834, 0.518)
O (0.552, 0.166, 0.482)
O (0.555, 0.740, 0.850)
O (0.622, 0.160, 0.835)
O (0.740, 0.555, 0.350)
O (0.834, 0.448, 0.018)
O (0.840, 0.378, 0.665)
O (0.970, 0.030, 0.750)